[1]
For NaLiTi3O7, the GGA-PBE geometry in the Materials Project gives the calculated X-ray diffraction stick pattern in this record (Cu Ka).
Intensities are scaled so that the largest is 100.

Lattice parameters (Å, degrees): 10.0672 8.8062 6.3598 81.45 59.89 38.66
Positions (direct):
Na  0.1307  0.8693  0.1307
Na  0.8693  0.1307  0.8693
Li  0.1835  0.1835  0.8165
Li  0.8165  0.8165  0.1835
Ti  0.2500  0.2500  0.2500
Ti  0.2641  0.5182  0.4818
Ti  0.4818  0.7359  0.2641
Ti  0.5182  0.2641  0.7359
Ti  0.7359  0.4818  0.5182
Ti  0.7500  0.7500  0.7500
O  0.1300  0.3979  0.6021
O  0.1317  0.1317  0.3683
O  0.1703  0.6179  0.8297
O  0.3342  0.6658  0.3342
O  0.3683  0.3683  0.1317
O  0.3821  0.8297  0.6179
O  0.3979  0.1300  0.8700
O  0.6021  0.8700  0.1300
O  0.6179  0.1703  0.3821
O  0.6317  0.6317  0.8683
O  0.6658  0.3342  0.6658
O  0.8297  0.3821  0.1703
O  0.8683  0.8683  0.6317
O  0.8700  0.6021  0.3979

Principal peaks in the range 10° ≤ 2θ ≤ 80°, sorted by position:
15.64°, I 44; 18.06°, I 84; 32.03°, I 42; 43.51°, I 39; 44.83°, I 100; 64.25°, I 40

=====

[2]
For Na5Li3Ti5O14, the GGA-PBE geometry in the Materials Project gives the calculated X-ray diffraction stick pattern in this record (Cu Ka).
Intensities are scaled so that the largest is 100.

Lattice parameters (Å, degrees): 5.2281 7.0375 8.1928 88.48 78.25 82.38
Positions (direct):
Na  0.0000  0.0000  0.0000
Na  0.1390  0.7091  0.6946
Na  0.3944  0.1456  0.1360
Na  0.5617  0.8660  0.8543
Na  0.8467  0.2728  0.2735
Li  0.2680  0.4321  0.4280
Li  0.3503  0.2975  0.7798
Li  0.7157  0.5661  0.5558
Ti  0.1953  0.5771  0.0786
Ti  0.4956  0.0106  0.4966
Ti  0.6220  0.7186  0.2288
Ti  0.7779  0.4261  0.9044
Ti  0.9281  0.1428  0.6243
O  0.0852  0.3267  0.0101
O  0.1780  0.1572  0.4232
O  0.2328  0.0181  0.7096
O  0.3321  0.8134  0.1120
O  0.4438  0.7207  0.4502
O  0.4636  0.5540  0.8445
O  0.5150  0.4565  0.1599
O  0.6072  0.2558  0.5353
O  0.6871  0.9738  0.2635
O  0.6995  0.1779  0.8688
O  0.7896  0.9094  0.5983
O  0.8894  0.6894  0.9824
O  0.9534  0.5765  0.2879
O  0.9840  0.4210  0.6823

Principal peaks in the range 10° ≤ 2θ ≤ 80°, sorted by position:
16.84°, I 100; 41.11°, I 72; 41.22°, I 70; 41.68°, I 69; 58.20°, I 19; 61.34°, I 34

=====

[3]
For NaLiTi3O7, the GGA-PBE geometry in the Materials Project gives the calculated X-ray diffraction stick pattern in this record (Cu Ka).
Intensities are scaled so that the largest is 100.

Lattice parameters (Å, degrees): 10.0672 10.0672 5.7704 90.00 90.00 111.47
Positions (direct):
Na  0.1193  0.6193  0.7553
Na  0.3807  0.8807  0.7553
Na  0.6193  0.1193  0.2447
Na  0.8807  0.3807  0.2447
Li  0.0665  0.9335  0.7595
Li  0.4335  0.5665  0.7595
Li  0.5665  0.4335  0.2405
Li  0.9335  0.0665  0.2405
Ti  0.0141  0.7318  0.2521
Ti  0.2318  0.5141  0.2521
Ti  0.2500  0.2500  0.0000
Ti  0.2500  0.2500  0.5000
Ti  0.2682  0.9859  0.2521
Ti  0.4859  0.7682  0.2521
Ti  0.5141  0.2318  0.7479
Ti  0.7318  0.0141  0.7479
Ti  0.7500  0.7500  0.0000
Ti  0.7500  0.7500  0.5000
Ti  0.7682  0.4859  0.7479
Ti  0.9859  0.2682  0.7479
O  0.0842  0.5842  0.2530
O  0.1200  0.1479  0.7504
O  0.1315  0.3685  0.0000
O  0.1318  0.3682  0.5000
O  0.1431  0.8569  0.4760
O  0.1451  0.8549  0.0283
O  0.1479  0.1200  0.2496
O  0.3521  0.3800  0.2496
O  0.3549  0.6451  0.0283
O  0.3569  0.6431  0.4760
O  0.3685  0.1315  0.0000
O  0.3682  0.1318  0.5000
O  0.3800  0.3521  0.7504
O  0.4158  0.9158  0.2530
O  0.5842  0.0842  0.7470
O  0.6200  0.6479  0.2496
O  0.6315  0.8685  0.0000
O  0.6318  0.8682  0.5000
O  0.6431  0.3569  0.5240
O  0.6451  0.3549  0.9717
O  0.6479  0.6200  0.7504
O  0.8521  0.8800  0.7504
O  0.8549  0.1451  0.9717
O  0.8569  0.1431  0.5240
O  0.8685  0.6315  0.0000
O  0.8682  0.6318  0.5000
O  0.8800  0.8521  0.2496
O  0.9158  0.4158  0.7470

Principal peaks in the range 10° ≤ 2θ ≤ 80°, sorted by position:
15.64°, I 44; 18.06°, I 84; 32.03°, I 42; 43.51°, I 39; 44.83°, I 100; 64.25°, I 40

=====

[4]
For Na5Li4Ti5O14, the GGA-PBE geometry in the Materials Project gives the calculated X-ray diffraction stick pattern in this record (Cu Ka).
Intensities are scaled so that the largest is 100.

Lattice parameters (Å, degrees): 5.2265 7.0139 8.1893 88.74 78.03 82.31
Positions (direct):
Na  0.0000  0.0000  0.0000
Na  0.1351  0.7050  0.7027
Na  0.4046  0.1431  0.1382
Na  0.5603  0.8652  0.8552
Na  0.8459  0.2766  0.2822
Li  0.0564  0.8498  0.3586
Li  0.2661  0.4251  0.4339
Li  0.3494  0.2916  0.7811
Li  0.7050  0.5669  0.5633
Ti  0.1991  0.5718  0.0755
Ti  0.4903  0.0071  0.5017
Ti  0.6269  0.7145  0.2279
Ti  0.7733  0.4274  0.9158
Ti  0.9192  0.1504  0.6383
O  0.0835  0.3246  0.0167
O  0.1765  0.1371  0.4197
O  0.2312  0.0182  0.7158
O  0.3210  0.8179  0.1223
O  0.4217  0.7222  0.4498
O  0.4579  0.5548  0.8487
O  0.5184  0.4526  0.1605
O  0.5997  0.2557  0.5418
O  0.6955  0.1692  0.8702
O  0.7083  0.9691  0.2662
O  0.7961  0.8980  0.5913
O  0.8864  0.6865  0.9843
O  0.9532  0.5823  0.2985
O  0.9846  0.4164  0.6797

Principal peaks in the range 10° ≤ 2θ ≤ 80°, sorted by position:
16.84°, I 100; 41.25°, I 92; 41.34°, I 91; 41.65°, I 88; 58.74°, I 46; 61.37°, I 46